The following is a computed powder XRD pattern of LaSc2Pa. It was derived from DFT lattice parameters and positions (GGA-PBE), using a wavelength of 1.5418 Å.
Kinematic intensities with the Lorentz-polarization factor, no thermal factor.

Principal peaks in the range 2θ = 15–90°, in order of rising 2θ:
d 5.491, rel. 49, hkl 0 0 6; d 2.865, rel. 31, hkl 0 1 2; d 2.744, rel. 100, hkl 1 0 4; d 2.376, rel. 50, hkl 0 1 8; d 2.181, rel. 16, hkl 1 0 10; d 1.830, rel. 13, hkl 0 0 18; d 1.680, rel. 34, hkl 1 1 0; d 1.433, rel. 39, hkl 0 2 4

Atomic structure:
```
data_LaSc2Pa
_cell_length_a 3.3594
_cell_length_b 3.3594
_cell_length_c 32.9456
_cell_angle_alpha 90.00
_cell_angle_beta 90.00
_cell_angle_gamma 120.00
_space_group_name_H-M_alt 'R -3 m'
_space_group_IT_number 166
_space_group_name_Hall '-R 3 2"'
loop_
_atom_site_label
_atom_site_fract_x
_atom_site_fract_y
_atom_site_fract_z
La1 0.0000 0.0000 0.0000
Sc1 0.0000 0.0000 0.2436
Pa1 0.0000 0.0000 0.5000
```